The following is a computed XRD peak list of Li3Fe2Si2O8. It was derived from the GGA+U geometry in Alexandria, using Cu Ka.
Kinematic intensities with the Lorentz-polarization factor, no thermal factor.

Most intense lines, 10° ≤ 2θ ≤ 90°, low angle first:
d = 5.547 Å, rel. 65, (0 2 0)
d = 3.800 Å, rel. 100, (1 2 0)
d = 3.083 Å, rel. 33, (0 0 2)
d = 2.696 Å, rel. 70, (0 2 2)
d = 2.608 Å, rel. 40, (2 0 0)
d = 1.586 Å, rel. 25, (0 6 2)

Cell and atoms:
abc: 5.217 11.093 6.166
angles: 90.00 90.78 90.00
Positions (direct):
Li1 0.040 0.000 0.241
Li2 0.054 0.001 0.765
Li3 0.453 0.336 0.766
Li4 0.547 0.836 0.234
Li5 0.946 0.501 0.235
Li6 0.960 0.500 0.759
Fe1 0.064 0.250 0.029
Fe2 0.441 0.095 0.506
Fe3 0.559 0.595 0.494
Fe4 0.936 0.750 0.971
Si1 0.058 0.759 0.484
Si2 0.438 0.589 0.997
Si3 0.562 0.089 0.003
Si4 0.942 0.259 0.516
O1 0.003 0.337 0.302
O2 0.052 0.330 0.731
O3 0.073 0.120 0.497
O4 0.122 0.585 0.998
O5 0.370 0.737 0.457
O6 0.449 0.020 0.783
O7 0.452 0.226 0.012
O8 0.464 0.013 0.227
O9 0.536 0.513 0.773
O10 0.548 0.726 0.988
O11 0.551 0.520 0.217
O12 0.630 0.237 0.543
O13 0.878 0.085 0.002
O14 0.927 0.620 0.503
O15 0.948 0.830 0.269
O16 0.997 0.837 0.698